The following is a calculated X-ray powder pattern of Rb3Fe2O4. It was derived from the GGA+U geometry in Alexandria, using Cu Kα (λ = 1.5418 Å).
Intensities are scaled so that the largest is 100.

Peak list (8 most intense, 2θ from 10° to 90°, in order of rising 2θ)
Position (°2θ)	I (rel.)	h k l
27.31	65.2	3 1 -1
28.61	100.0	2 2 1
31.90	32.3	1 1 -2
33.36	20.0	2 0 2
36.96	39.1	5 1 0
39.34	31.8	3 3 -1
39.67	20.9	0 4 0
42.79	19.7	1 3 -2

```
data_Rb3Fe2O4
_chemical_formula_sum 'Rb12 Fe8 O16'
_space_group_name_H-M_alt 'C 1 2/c 1'
_space_group_IT_number 15
_cell_length_a 12.625
_cell_length_b 9.089
_cell_length_c 6.025
_cell_angle_alpha 90.00
_cell_angle_beta 91.77
_cell_angle_gamma 90.00
loop_
_space_group_symop_operation_xyz
'x,y,z'
'-x,-y,-z'
'-x,y,-z+1/2'
'x,-y,z+1/2'
'x+1/2,y+1/2,z'
'-x+1/2,-y+1/2,-z'
'-x+1/2,y+1/2,-z+1/2'
'x+1/2,-y+1/2,z+1/2'
loop_
_atom_site_label
_atom_site_type_symbol
_atom_site_fract_x
_atom_site_fract_y
_atom_site_fract_z
Rb1 Rb 0.000 0.094 0.250
Rb2 Rb 0.115 0.358 0.547
Fe1 Fe 0.215 0.116 0.939
O1 O 0.138 0.302 0.020
O2 O 0.185 0.053 0.631
```